The following is a simulated powder XRD pattern of Pm4SmTm3. It was derived from the GGA-PBE geometry in Alexandria, using CuKα.
Intensities are scaled so that the largest is 100.

Crystal structure
a = 11.485 Å, b = 7.301 Å, c = 6.295 Å
α = 90.00°, β = 90.00°, γ = 90.00°
Space group Pmn2_1 (No. 31)
Unique sites:
1 Pm 0.000 0.129 0.000 (multiplicity 2)
2 Pm 0.000 0.871 0.491 (multiplicity 2)
3 Pm 0.246 0.874 0.830 (multiplicity 4)
4 Sm 0.000 0.376 0.497 (multiplicity 2)
5 Tm 0.000 0.620 0.996 (multiplicity 2)
6 Tm 0.250 0.379 0.829 (multiplicity 4)

Main lines, in order of rising 2θ (15° ≤ 2θ ≤ 90°):
h k l	d_spacing	I (rel.)
0 0 2	3.155	24
4 0 0	2.871	25
2 2 1	2.765	100
4 0 2	2.123	16
0 4 0	1.825	7
0 2 3	1.819	13
6 2 1	1.637	21
4 4 0	1.540	8
4 2 3	1.537	15
2 4 2	1.522	11

=====

The following is a simulated powder XRD pattern of Th3Mg9Hg2. It was derived from the GGA-PBE geometry in Alexandria, using CuKα.
Intensities are scaled so that the largest is 100.

Crystal structure
a = 4.877 Å, b = 11.697 Å, c = 12.353 Å
α = 90.00°, β = 90.00°, γ = 90.00°
Space group Immm (No. 71)
Unique sites:
1 Th 0.000 0.000 0.000 (multiplicity 2)
2 Th 0.000 0.000 0.286 (multiplicity 4)
3 Mg 0.000 0.277 0.142 (multiplicity 8)
4 Mg 0.000 0.371 0.367 (multiplicity 8)
5 Mg 0.000 0.500 0.000 (multiplicity 2)
6 Hg 0.000 0.166 0.500 (multiplicity 4)

Main lines, in order of rising 2θ (15° ≤ 2θ ≤ 90°):
h k l	d_spacing	I (rel.)
0 2 0	5.848	24
1 1 0	4.501	100
0 3 1	3.718	26
0 0 4	3.088	19
0 3 3	2.831	45
1 2 3	2.771	70
1 3 2	2.731	49
1 1 4	2.546	49
2 0 0	2.438	32
2 3 3	1.848	27

=====

The following is a simulated powder XRD pattern of SnGe5Cl12. It was derived from the GGA-PBE geometry in Alexandria, using CuKα.
Intensities are scaled so that the largest is 100.

Crystal structure
a = 6.909 Å, b = 11.994 Å, c = 13.272 Å
α = 90.00°, β = 90.11°, γ = 90.00°
Space group C2/m (No. 12)
Unique sites:
1 Sn 0.000 0.000 0.000 (multiplicity 2)
2 Ge 0.000 0.167 0.500 (multiplicity 4)
3 Ge 0.000 0.333 0.000 (multiplicity 4)
4 Ge 0.000 0.500 0.500 (multiplicity 2)
5 Cl 0.150 0.500 0.114 (multiplicity 4)
6 Cl 0.166 0.000 0.391 (multiplicity 4)
7 Cl 0.166 0.333 0.391 (multiplicity 8)
8 Cl 0.175 0.175 0.114 (multiplicity 8)

Main lines, in order of rising 2θ (15° ≤ 2θ ≤ 90°):
h k l	d_spacing	I (rel.)
1 3 1	3.347	70
2 0 2	3.066	100
1 3 -3	2.727	67
1 3 3	2.724	57
2 0 4	2.393	52
1 3 -5	2.106	67
0 6 0	1.999	24
3 3 -1	1.973	73
2 6 2	1.674	18
4 0 -4	1.534	29

=====

The following is a simulated powder XRD pattern of Ac3Zn2SbO9. It was derived from the GGA-PBE geometry in Alexandria, using CuKα.
Intensities are scaled so that the largest is 100.

Crystal structure
a = 5.7754 Å, b = 5.7754 Å, c = 7.0919 Å
α = 90.00°, β = 90.00°, γ = 120.00°
Space group P-3m1 (No. 164)
Unique sites:
1 Ac 0.0000 0.0000 0.0000 (multiplicity 1)
2 Ac 0.3333 0.6667 0.7127 (multiplicity 2)
3 Zn 0.3333 0.6667 0.1704 (multiplicity 2)
4 Sb 0.0000 0.0000 0.5000 (multiplicity 1)
5 O 0.0000 0.5000 0.0000 (multiplicity 3)
6 O 0.1595 0.3189 0.3322 (multiplicity 6)

Main lines, in order of rising 2θ (15° ≤ 2θ ≤ 90°):
h k l	d_spacing	I (rel.)
1 0 1	4.087	20
1 1 0	2.890	100
0 2 1	2.359	13
2 0 2	2.044	27
2 1 1	1.827	6
3 0 0	1.668	31
1 1 4	1.511	6
2 2 0	1.444	9
3 1 2	1.292	14
2 3 2	1.092	8

=====

The following is a simulated powder XRD pattern of Fe2Sb2W. It was derived from the GGA-PBE geometry in Alexandria, using CuKα.
Intensities are scaled so that the largest is 100.

Crystal structure
a = 6.791 Å, b = 6.791 Å, c = 3.569 Å
α = 90.00°, β = 90.00°, γ = 90.00°
Space group P4/mbm (No. 127)
Unique sites:
1 Fe 0.121 0.379 0.000 (multiplicity 4)
2 Sb 0.179 0.679 0.500 (multiplicity 4)
3 W 0.000 0.000 0.000 (multiplicity 2)

Main lines, in order of rising 2θ (15° ≤ 2θ ≤ 90°):
h k l	d_spacing	I (rel.)
1 1 1	2.865	36
2 0 1	2.460	100
2 2 0	2.401	31
2 1 1	2.313	93
3 1 0	2.148	68
0 0 2	1.785	24
4 1 1	1.496	15
3 3 1	1.461	23
3 1 2	1.373	32
5 1 1	1.248	22

=====

The following is a simulated powder XRD pattern of Li5Pr4Au6. It was derived from the GGA-PBE geometry in Alexandria, using CuKα.
Intensities are scaled so that the largest is 100.

Crystal structure
a = 4.201 Å, b = 21.316 Å, c = 15.622 Å
α = 90.00°, β = 90.00°, γ = 90.00°
Space group Cmc2_1 (No. 36)
Unique sites:
1 Li 0.000 0.062 0.000 (multiplicity 4)
2 Li 0.000 0.144 0.324 (multiplicity 4)
3 Li 0.000 0.163 0.593 (multiplicity 4)
4 Li 0.000 0.196 0.945 (multiplicity 4)
5 Li 0.000 0.342 0.960 (multiplicity 4)
6 Pr 0.000 0.317 0.270 (multiplicity 4)
7 Pr 0.000 0.341 0.634 (multiplicity 4)
8 Pr 0.000 0.468 0.105 (multiplicity 4)
9 Pr 0.000 0.490 0.841 (multiplicity 4)
10 Au 0.000 0.059 0.193 (multiplicity 4)
11 Au 0.000 0.071 0.466 (multiplicity 4)
12 Au 0.000 0.078 0.741 (multiplicity 4)
13 Au 0.000 0.262 0.090 (multiplicity 4)
14 Au 0.000 0.283 0.813 (multiplicity 4)
15 Au 0.000 0.384 0.444 (multiplicity 4)

Main lines, in order of rising 2θ (15° ≤ 2θ ≤ 90°):
h k l	d_spacing	I (rel.)
0 2 4	3.667	47
1 3 1	3.523	72
0 6 1	3.464	46
1 1 3	3.232	48
0 4 4	3.150	75
1 5 0	2.994	98
1 1 4	2.835	100
1 5 3	2.595	98
2 0 0	2.101	74
1 3 7	1.899	54

=====

The following is a simulated powder XRD pattern of LiThCo2H8. It was derived from the GGA-PBE geometry in Alexandria, using CuKα.
Intensities are scaled so that the largest is 100.

Crystal structure
a = 4.4444 Å, b = 4.4444 Å, c = 15.9038 Å
α = 90.00°, β = 90.00°, γ = 120.00°
Space group R-3 (No. 148, hexagonal axes)
Unique sites:
1 Li 0.0000 0.0000 0.0000 (multiplicity 3)
2 Th 0.0000 0.0000 0.5000 (multiplicity 3)
3 Co 0.0000 0.0000 0.3025 (multiplicity 6)
4 H 0.0000 0.0000 0.1976 (multiplicity 6)
5 H 0.0066 0.7245 0.3772 (multiplicity 18)

Main lines, in order of rising 2θ (15° ≤ 2θ ≤ 90°):
h k l	d_spacing	I (rel.)
1 0 1	3.741	100
0 1 2	3.464	19
1 0 4	2.765	46
0 0 6	2.651	16
0 1 5	2.452	57
1 1 0	2.222	46
0 2 1	1.911	16
1 1 6	1.703	26
2 0 5	1.647	17
1 2 5	1.323	16

=====

The following is a simulated powder XRD pattern of Th2CdOsPb. It was derived from the GGA-PBE geometry in Alexandria, using CuKα.
Intensities are scaled so that the largest is 100.

Crystal structure
a = 7.961 Å, b = 4.419 Å, c = 8.329 Å
α = 90.00°, β = 110.14°, γ = 90.00°
Space group P2_1/m (No. 11)
Unique sites:
1 Th 0.032 0.250 0.239 (multiplicity 2)
2 Th 0.334 0.750 0.604 (multiplicity 2)
3 Cd 0.319 0.750 0.203 (multiplicity 2)
4 Os 0.104 0.250 0.615 (multiplicity 2)
5 Pb 0.331 0.250 0.961 (multiplicity 2)

Main lines, in order of rising 2θ (15° ≤ 2θ ≤ 90°):
h k l	d_spacing	I (rel.)
1 1 1	3.207	36
1 0 2	3.059	43
2 1 -1	2.941	100
2 1 0	2.854	33
1 0 -3	2.776	32
2 1 -2	2.662	51
1 1 2	2.515	46
3 0 0	2.491	34
1 1 -3	2.351	50
0 2 0	2.210	52